(1)
Theoretical PXRD pattern of Ba7Sr6Ca16 for CuKα, from a cell relaxed with GGA-PBE.
Kinematic intensities with the Lorentz-polarization factor, no thermal factor.

Atomic structure:
```
Ba7Sr6Ca16
1.0
0.000 9.111 9.111
9.111 0.000 9.111
9.111 9.111 0.000
Ba Sr Ca
7 6 16
Cartesian
0.000 0.000 0.000 Ba
4.556 4.556 0.000 Ba
4.556 0.000 4.556 Ba
9.111 4.556 4.556 Ba
0.000 4.556 4.556 Ba
4.556 9.111 4.556 Ba
4.556 4.556 9.111 Ba
9.111 9.111 5.255 Sr
9.111 5.255 9.111 Sr
12.968 9.111 9.111 Sr
5.255 9.111 9.111 Sr
9.111 12.968 9.111 Sr
9.111 9.111 12.968 Sr
5.959 3.153 3.153 Ca
2.197 2.197 2.197 Ca
6.914 6.914 2.197 Ca
6.914 2.197 6.914 Ca
3.153 5.959 3.153 Ca
3.153 3.153 5.959 Ca
5.959 5.959 5.959 Ca
16.026 11.308 11.308 Ca
2.197 6.914 6.914 Ca
12.264 12.264 12.264 Ca
15.070 15.070 12.264 Ca
15.070 12.264 15.070 Ca
11.308 16.026 11.308 Ca
11.308 11.308 16.026 Ca
16.026 16.026 16.026 Ca
12.264 15.070 15.070 Ca
```

The 10 most intense peaks (2θ from 10° to 90°), by intensity:
d [Å]	intensity
3.221	100
4.556	33
1.860	26
3.507	24
2.747	22
2.037	16
3.720	15
1.540	13
1.186	12
1.753	12


(2)
Theoretical PXRD pattern of BaSr3Ca2 for CuKα, from a cell relaxed with GGA-PBE.
Kinematic intensities with the Lorentz-polarization factor, no thermal factor.

Atomic structure:
```
BaSr3Ca2
1.0
4.494 0.000 0.000
0.000 4.494 0.000
0.000 0.000 15.278
Ba Sr Ca
1 3 2
Cartesian
0.000 0.000 0.000 Ba
2.247 2.247 2.911 Sr
2.247 2.247 7.639 Sr
2.247 2.247 12.367 Sr
0.000 0.000 5.298 Ca
0.000 0.000 9.980 Ca
```

The 10 most intense peaks (2θ from 10° to 90°), by intensity:
d [Å]	intensity
3.370	100
3.178	47
1.869	36
2.247	18
1.987	17
3.873	13
1.588	11
1.685	10
4.311	9
2.546	9


(3)
Theoretical PXRD pattern of Ba4Sr2Ca3 for CuKα, from a cell relaxed with GGA-PBE.
Kinematic intensities with the Lorentz-polarization factor, no thermal factor.

Atomic structure:
```
Ba4Sr2Ca3
1.0
7.824 -7.021 0.000
7.824 7.021 0.000
-6.251 0.000 8.837
Ba Sr Ca
8 4 6
Cartesian
0.066 1.634 3.625 Ba
-1.081 2.008 7.601 Ba
-3.060 -1.634 8.043 Ba
2.045 -2.008 3.183 Ba
7.352 2.008 5.654 Ba
12.457 1.634 0.794 Ba
10.478 -2.008 1.236 Ba
9.331 -1.634 5.213 Ba
4.247 1.536 2.788 Sr
8.276 1.536 1.630 Sr
1.121 -1.536 7.207 Sr
5.150 -1.536 6.049 Sr
6.878 5.299 0.353 Ca
5.645 5.299 4.066 Ca
3.136 1.912 6.628 Ca
6.261 -1.912 2.209 Ca
3.752 -5.299 4.772 Ca
2.519 -5.299 8.484 Ca
```

The 10 most intense peaks (2θ from 10° to 90°), by intensity:
d [Å]	intensity
3.329	100
3.475	65
2.843	62
3.463	56
3.510	52
1.951	31
2.209	29
5.189	22
1.990	18
6.388	16


(4)
Theoretical PXRD pattern of Ba6Sr5Ca for CuKα, from a cell relaxed with GGA-PBE.
Kinematic intensities with the Lorentz-polarization factor, no thermal factor.

Atomic structure:
```
Ba6Sr5Ca
1.0
-3.446 4.872 10.328
3.446 -4.872 10.328
3.446 4.872 -10.328
Ba Sr Ca
6 5 1
Cartesian
3.446 2.403 -3.398 Ba
0.000 2.368 0.000 Ba
3.446 2.403 3.398 Ba
0.000 2.469 6.929 Ba
0.000 7.377 0.000 Ba
0.000 2.469 13.726 Ba
0.000 0.000 3.489 Sr
3.446 0.000 6.890 Sr
0.000 0.000 10.328 Sr
0.000 4.872 3.438 Sr
0.000 0.000 17.167 Sr
3.446 0.000 0.000 Ca
```

The 10 most intense peaks (2θ from 10° to 90°), by intensity:
d [Å]	intensity
3.445	100
1.989	42
1.302	21
2.436	19
1.540	18
1.722	13
1.148	11
4.871	6
1.406	5
2.179	3


(5)
Theoretical PXRD pattern of Ba6Sr5Ca2 for CuKα, from a cell relaxed with GGA-PBE.
Kinematic intensities with the Lorentz-polarization factor, no thermal factor.

Atomic structure:
```
Ba6Sr5Ca2
1.0
12.851 0.000 0.000
0.000 27.768 0.000
0.000 0.000 4.275
Ba Sr Ca
12 10 4
Cartesian
0.164 3.198 0.000 Ba
2.001 10.626 0.000 Ba
2.117 17.630 2.137 Ba
4.308 3.746 2.137 Ba
4.424 24.509 0.000 Ba
6.261 17.082 0.000 Ba
6.590 10.686 0.000 Ba
8.427 3.258 0.000 Ba
8.542 24.021 2.137 Ba
10.734 10.138 2.137 Ba
10.850 17.142 0.000 Ba
12.687 24.570 0.000 Ba
0.000 13.884 2.137 Sr
1.115 6.910 2.137 Sr
2.180 27.695 2.137 Sr
4.245 13.811 2.137 Sr
5.310 20.793 2.137 Sr
6.425 0.000 2.137 Sr
7.541 6.974 2.137 Sr
8.606 13.957 2.137 Sr
10.671 0.073 2.137 Sr
11.736 20.858 2.137 Sr
2.094 21.202 0.000 Ca
4.331 7.318 0.000 Ca
8.520 20.450 0.000 Ca
10.756 6.566 0.000 Ca
```

The 10 most intense peaks (2θ from 10° to 90°), by intensity:
d [Å]	intensity
3.890	100
3.471	59
3.392	57
3.322	51
2.997	35
3.640	34
1.821	27
3.008	25
2.175	22
2.160	20


(6)
Theoretical PXRD pattern of Ba3SrCa6 for CuKα, from a cell relaxed with GGA-PBE.
Kinematic intensities with the Lorentz-polarization factor, no thermal factor.

Atomic structure:
```
Ba3SrCa6
1.0
0.000 6.497 6.497
6.497 0.000 6.497
6.497 6.497 0.000
Ba Sr Ca
3 1 6
Cartesian
0.000 0.000 0.000 Ba
3.249 3.249 3.249 Ba
9.746 9.746 9.746 Ba
6.497 6.497 6.497 Sr
6.497 6.497 3.184 Ca
6.497 3.184 6.497 Ca
9.811 6.497 6.497 Ca
3.184 6.497 6.497 Ca
6.497 9.811 6.497 Ca
6.497 6.497 9.811 Ca
```

The 10 most intense peaks (2θ from 10° to 90°), by intensity:
d [Å]	intensity
4.594	100
3.249	75
2.297	56
2.652	50
1.736	29
1.453	25
3.751	24
2.055	24
1.876	20
1.326	18


(7)
Theoretical PXRD pattern of Ba4SrCa for CuKα, from a cell relaxed with GGA-PBE.
Kinematic intensities with the Lorentz-polarization factor, no thermal factor.

Atomic structure:
```
Ba4SrCa
1.0
11.865 0.000 0.000
0.000 6.888 0.000
-0.030 0.000 8.420
Ba Sr Ca
8 2 2
Cartesian
1.912 0.005 3.473 Ba
1.897 6.883 7.683 Ba
3.894 3.439 0.674 Ba
3.879 3.449 4.884 Ba
7.956 3.439 3.536 Ba
7.941 3.449 7.746 Ba
9.938 0.005 0.737 Ba
9.923 6.883 4.947 Ba
5.910 0.005 6.315 Sr
5.925 6.883 2.105 Sr
-0.023 3.440 6.315 Ca
-0.008 3.448 2.105 Ca
```

The 10 most intense peaks (2θ from 10° to 90°), by intensity:
d [Å]	intensity
3.439	100
3.430	49
1.986	32
1.982	26
2.433	20
1.539	19
1.716	13
5.949	10
1.299	10
1.297	10


(8)
Theoretical PXRD pattern of BaSr4Ca7 for CuKα, from a cell relaxed with GGA-PBE.
Kinematic intensities with the Lorentz-polarization factor, no thermal factor.

Atomic structure:
```
BaSr4Ca7
1.0
6.924 -3.393 0.000
6.924 3.393 0.000
-6.660 0.000 12.737
Ba Sr Ca
1 4 7
Cartesian
0.000 0.000 0.000 Ba
-3.002 0.000 9.916 Sr
1.050 0.000 8.919 Sr
6.139 0.000 3.818 Sr
10.191 0.000 2.821 Sr
-1.466 0.000 6.033 Ca
3.498 0.000 0.995 Ca
2.193 0.000 4.809 Ca
6.924 0.000 0.000 Ca
4.996 0.000 7.928 Ca
3.690 0.000 11.742 Ca
8.654 0.000 6.703 Ca
```

The 10 most intense peaks (2θ from 10° to 90°), by intensity:
d [Å]	intensity
3.393	100
3.358	76
3.137	70
3.459	69
2.387	58
3.030	46
4.972	44
1.735	28
3.586	27
1.891	24